Entry 1:
This entry pairs a crystal structure of Pr2Ho9Tm3 with its theoretical powder X-ray diffraction pattern. Radiation: Cu Kα X-rays. Structure: a crystal structure in Alexandria, relaxed with PBE.
Neutral-atom scattering factors, no anomalous dispersion.

Peak list (8 most intense, 10° ≤ 2θ ≤ 80°, by angle)
| 2θ/deg | I_rel |
| --- | --- |
| 30.02 | 52 |
| 31.02 | 60 |
| 31.53 | 100 |
| 31.71 | 94 |
| 32.06 | 37 |
| 33.13 | 56 |
| 33.43 | 83 |
| 34.10 | 42 |

Crystal structure
Cell lengths 6.336, 8.734, 9.238 Å; angles 105.93, 104.85, 104.23 degrees
Element x y z (fractional)
Pr 0.000 0.000 0.000
Pr 0.120 0.438 0.053
Ho 0.231 0.865 0.295
Ho 0.262 0.363 0.710
Ho 0.397 0.288 0.377
Ho 0.427 0.790 0.807
Ho 0.551 0.223 0.032
Ho 0.571 0.696 0.445
Ho 0.657 0.129 0.672
Ho 0.806 0.064 0.331
Ho 0.837 0.578 0.748
Tm 0.082 0.951 0.639
Tm 0.680 0.645 0.090
Tm 0.995 0.522 0.414

Entry 2:
This entry pairs a crystal structure of NdSm14Dy with its theoretical powder X-ray diffraction pattern. Radiation: Cu Kα X-rays. Structure: a crystal structure in Alexandria, relaxed with PBE.
Neutral-atom scattering factors, no anomalous dispersion.

Peak list (8 most intense, 10° ≤ 2θ ≤ 80°, by angle)
| 2θ/deg | I_rel |
| --- | --- |
| 29.33 | 43 |
| 30.49 | 34 |
| 32.23 | 100 |
| 36.61 | 24 |
| 50.11 | 26 |
| 55.29 | 22 |
| 59.79 | 30 |
| 60.84 | 16 |

Crystal structure
Cell lengths 11.729, 7.281, 7.281 Å; angles 60.01, 90.00, 90.00 degrees
Element x y z (fractional)
Nd 0.000 0.000 0.000
Sm 0.000 0.000 0.499
Sm 0.000 0.499 0.000
Sm 0.249 0.666 0.666
Sm 0.250 0.167 0.666
Sm 0.250 0.666 0.167
Sm 0.251 0.167 0.167
Sm 0.500 0.334 0.334
Sm 0.500 0.334 0.833
Sm 0.500 0.833 0.334
Sm 0.500 0.833 0.833
Sm 0.749 0.167 0.167
Sm 0.750 0.167 0.666
Sm 0.750 0.666 0.167
Sm 0.751 0.666 0.666
Dy 0.000 0.499 0.499

Entry 3:
This entry pairs a crystal structure of Cs3InAg with its theoretical powder X-ray diffraction pattern. Radiation: Cu Kα X-rays. Structure: a crystal structure in Alexandria, relaxed with PBE.
Neutral-atom scattering factors, no anomalous dispersion.

Peak list (8 most intense, 10° ≤ 2θ ≤ 80°, by angle)
| 2θ/deg | I_rel |
| --- | --- |
| 12.15 | 23 |
| 21.13 | 74 |
| 24.45 | 100 |
| 34.84 | 79 |
| 41.11 | 38 |
| 43.02 | 29 |
| 56.51 | 38 |
| 62.48 | 28 |

Crystal structure
Cell lengths 7.283, 7.283, 7.283 Å; angles 90.00, 90.00, 90.00 degrees
Element x y z (fractional)
Cs 0.000 0.000 0.500
Cs 0.000 0.500 0.000
Cs 0.500 0.000 0.000
In 0.000 0.000 0.000
Ag 0.500 0.500 0.500

Entry 4:
This entry pairs a crystal structure of Tb3Ce4Ru4 with its theoretical powder X-ray diffraction pattern. Radiation: Cu Kα X-rays. Structure: a crystal structure in Alexandria, relaxed with PBE.
Neutral-atom scattering factors, no anomalous dispersion.

Peak list (8 most intense, 10° ≤ 2θ ≤ 80°, by angle)
| 2θ/deg | I_rel |
| --- | --- |
| 31.53 | 100 |
| 31.74 | 30 |
| 33.53 | 36 |
| 35.97 | 65 |
| 37.67 | 18 |
| 39.57 | 13 |
| 50.23 | 19 |
| 60.21 | 25 |

Crystal structure
Cell lengths 8.973, 8.973, 8.973 Å; angles 156.64, 115.69, 69.41 degrees
Element x y z (fractional)
Tb 0.000 0.000 0.000
Tb 0.387 0.887 0.500
Tb 0.613 0.113 0.500
Ce 0.033 0.337 0.696
Ce 0.360 0.663 0.696
Ce 0.640 0.337 0.304
Ce 0.967 0.663 0.304
Ru 0.212 0.212 0.000
Ru 0.285 0.500 0.785
Ru 0.715 0.500 0.215
Ru 0.788 0.788 0.000

Entry 5:
This entry pairs a crystal structure of CoB7Mo3 with its theoretical powder X-ray diffraction pattern. Radiation: Cu Kα X-rays. Structure: a crystal structure in Alexandria, relaxed with PBE.
Neutral-atom scattering factors, no anomalous dispersion.

Peak list (8 most intense, 10° ≤ 2θ ≤ 80°, by angle)
| 2θ/deg | I_rel |
| --- | --- |
| 29.76 | 51 |
| 32.46 | 100 |
| 32.58 | 29 |
| 40.50 | 30 |
| 42.69 | 60 |
| 44.95 | 35 |
| 48.44 | 36 |
| 70.11 | 28 |

Crystal structure
Cell lengths 7.166, 7.166, 8.965 Å; angles 90.00, 90.00, 155.23 degrees
Element x y z (fractional)
Co 0.034 0.966 0.750
Co 0.966 0.034 0.250
B 0.272 0.728 0.036
B 0.272 0.728 0.464
B 0.368 0.632 0.155
B 0.368 0.632 0.345
B 0.422 0.578 0.750
B 0.489 0.511 0.094
B 0.489 0.511 0.406
B 0.511 0.489 0.594
B 0.511 0.489 0.906
B 0.578 0.422 0.250
B 0.632 0.368 0.655
B 0.632 0.368 0.845
B 0.728 0.272 0.536
B 0.728 0.272 0.964
Mo 0.110 0.890 0.042
Mo 0.110 0.890 0.458
Mo 0.253 0.747 0.750
Mo 0.747 0.253 0.250
Mo 0.890 0.110 0.542
Mo 0.890 0.110 0.958

Entry 6:
This entry pairs a crystal structure of BeRh4 with its theoretical powder X-ray diffraction pattern. Radiation: Cu Kα X-rays. Structure: a crystal structure in Alexandria, relaxed with PBE.
Neutral-atom scattering factors, no anomalous dispersion.

Peak list (8 most intense, 10° ≤ 2θ ≤ 80°, by angle)
| 2θ/deg | I_rel |
| --- | --- |
| 21.16 | 13 |
| 28.05 | 15 |
| 30.10 | 9 |
| 41.61 | 100 |
| 48.32 | 15 |
| 48.48 | 32 |
| 70.87 | 20 |
| 70.99 | 9 |

Crystal structure
Cell lengths 4.602, 4.602, 4.602 Å; angles 99.64, 99.64, 131.68 degrees
Element x y z (fractional)
Be 0.000 0.000 0.000
Rh 0.203 0.395 0.597
Rh 0.395 0.797 0.192
Rh 0.605 0.203 0.808
Rh 0.797 0.605 0.403

Entry 7:
This entry pairs a crystal structure of H2RuPb with its theoretical powder X-ray diffraction pattern. Radiation: Cu Kα X-rays. Structure: a crystal structure in Alexandria, relaxed with PBE.
Neutral-atom scattering factors, no anomalous dispersion.

Peak list (8 most intense, 10° ≤ 2θ ≤ 80°, by angle)
| 2θ/deg | I_rel |
| --- | --- |
| 22.50 | 13 |
| 32.34 | 28 |
| 34.07 | 100 |
| 42.76 | 27 |
| 54.60 | 29 |
| 58.79 | 21 |
| 71.74 | 13 |
| 72.74 | 23 |

Crystal structure
Cell lengths 6.293, 6.293, 6.293 Å; angles 140.73, 140.73, 56.75 degrees
Element x y z (fractional)
H 0.000 0.000 0.000
H 0.000 0.000 0.500
H 0.000 0.500 0.000
H 0.500 0.000 0.500
Ru 0.125 0.875 0.250
Ru 0.875 0.125 0.750
Pb 0.375 0.625 0.750
Pb 0.625 0.375 0.250

- Which formula does entry 2 have?
  NdSm14Dy